KEuV4O12: computed powder X-ray diffraction pattern (Cu Kα, 1.54184 Å), based on the GGA+U geometry in Alexandria.

Crystal structure
Lattice parameters (Å, degrees): 7.242 6.295 6.295 68.06 90.00 90.00
Fractional coordinates of all 18 atoms:
K: 0.000 0.000 0.000
Eu: 0.500 0.549 0.549
V: 0.254 0.025 0.512
V: 0.254 0.512 0.025
V: 0.746 0.025 0.512
V: 0.746 0.512 0.025
O: 0.000 0.533 0.994
O: 0.000 0.994 0.533
O: 0.229 0.207 0.207
O: 0.262 0.709 0.709
O: 0.293 0.197 0.654
O: 0.293 0.654 0.197
O: 0.500 0.441 0.961
O: 0.500 0.961 0.441
O: 0.707 0.197 0.654
O: 0.707 0.654 0.197
O: 0.738 0.709 0.709
O: 0.771 0.207 0.207

Principal peaks in the range 2θ from 5° to 70°, in order of rising 2θ:
- d = 7.242 Å, 12.22 deg, rel. 31
- d = 5.839 Å, 15.17 deg, rel. 30
- d = 4.546 Å, 19.53 deg, rel. 100
- d = 4.233 Å, 20.99 deg, rel. 20
- d = 2.975 Å, 30.04 deg, rel. 59
- d = 2.919 Å, 30.62 deg, rel. 64
- d = 2.864 Å, 31.23 deg, rel. 25
- d = 2.525 Å, 35.55 deg, rel. 29
- d = 1.814 Å, 50.29 deg, rel. 20
- d = 1.539 Å, 60.13 deg, rel. 20